Entry 1:
The following is a computed X-ray powder pattern of K6Hg23Sb. It was derived from DFT lattice parameters and positions (PBE), using a wavelength of 1.5418 Å.
No peak broadening, texture or thermal motion is included.

Structure:
```
data_K6Hg23Sb
_space_group_name_H-M_alt 'F m -3 m'
_space_group_IT_number 225
_space_group_name_Hall '-F 4 2 3'
_cell_length_a 15.479
_cell_length_b 15.479
_cell_length_c 15.479
_cell_angle_alpha 90.00
_cell_angle_beta 90.00
_cell_angle_gamma 90.00
loop_
_atom_site_label
_atom_site_type_symbol
_atom_site_fract_x
_atom_site_fract_y
_atom_site_fract_z
K1 K 0.000 0.000 0.222
Hg1 Hg 0.000 0.000 0.500
Hg2 Hg 0.000 0.250 0.250
Hg3 Hg 0.122 0.122 0.378
Hg4 Hg 0.161 0.161 0.161
Sb1 Sb 0.000 0.000 0.000
```

Largest 10 diffraction maxima, sorted by position, 5° ≤ 2θ ≤ 70°:
(hkl)  2θ (°)  intensity
2 0 0  11.4  13
2 2 2  19.9  19
3 3 3  30.0  19
4 4 0  32.7  100
5 3 1  34.3  19
6 2 2  38.6  22
8 0 0  47.0  10
9 3 1  56.7  11
8 4 4  58.4  24
9 3 3  59.4  12



Entry 2:
The following is a computed X-ray powder pattern of DyY3Th4. It was derived from DFT lattice parameters and positions (PBE), using a wavelength of 1.5418 Å.
No peak broadening, texture or thermal motion is included.

Structure:
```
data_DyY3Th4
_space_group_name_H-M_alt 'I m m m'
_space_group_IT_number 71
_space_group_name_Hall '-I 2 2'
_cell_length_a 3.440
_cell_length_b 11.437
_cell_length_c 13.198
_cell_angle_alpha 90.00
_cell_angle_beta 90.00
_cell_angle_gamma 90.00
loop_
_atom_site_label
_atom_site_type_symbol
_atom_site_fract_x
_atom_site_fract_y
_atom_site_fract_z
Dy1 Dy 0.000 0.000 0.000
Y1 Y 0.000 0.000 0.500
Y2 Y 0.000 0.500 0.264
Th1 Th 0.000 0.251 0.130
```

Largest 10 diffraction maxima, sorted by position, 5° ≤ 2θ ≤ 70°:
(hkl)  2θ (°)  intensity
0 2 0  15.5  20
1 0 1  26.8  25
1 1 2  30.3  16
1 2 1  31.1  24
0 4 0  31.3  100
1 2 3  36.7  33
1 4 1  41.6  16
1 4 3  46.2  16
0 6 4  55.7  19
2 4 0  63.1  27